# 1
Structure and computed powder XRD pattern of Li2SbPd (the PBE geometry in the Materials Project; CuKα).

Peak list (8 most intense, 10° ≤ 2θ ≤ 90°, low angle first)
2θ/deg  intensity  (hkl)
24.13  100  1 1 1
39.91  94  2 2 0
47.18  48  3 1 1
57.72  16  4 0 0
63.47  20  3 3 1
72.48  31  4 2 2
77.66  15  5 1 1
86.09  10  4 4 0

Cell and atoms:
Lattice parameters (Å, degrees): 6.389 6.389 6.389 90.00 90.00 90.00
Space group F-43m (No. 216)
Asymmetric unit:
Li  0.000  0.000  0.000 x4
Li  0.250  0.250  0.250 x4
Sb  0.250  0.250  0.750 x4
Pd  0.000  0.000  0.500 x4

=====

# 2
Structure and computed powder XRD pattern of LiScPd2 (the PBE geometry in the Materials Project; CuKα).

Peak list (10 most intense, 10° ≤ 2θ ≤ 90°, low angle first)
2θ/deg  intensity  (hkl)
24.21  6  1 1 1
28.03  52  2 0 0
40.05  100  2 2 0
47.35  3  3 1 1
49.59  14  2 2 2
57.93  16  4 0 0
63.70  1  3 3 1
65.56  18  4 2 0
72.76  32  4 2 2
86.45  10  4 4 0

Cell and atoms:
Lattice parameters (Å, degrees): 6.368 6.368 6.368 90.00 90.00 90.00
Space group Fm-3m (No. 225)
Asymmetric unit:
Li  0.000  0.000  0.000 x4
Sc  0.000  0.000  0.500 x4
Pd  0.250  0.250  0.250 x8

=====

# 3
Structure and computed powder XRD pattern of LiSn6Pd2 (the PBE geometry in the Materials Project; CuKα).

Peak list (10 most intense, 10° ≤ 2θ ≤ 90°, low angle first)
2θ/deg  intensity  (hkl)
30.22  28  0 0 3
31.43  97  2 1 1
35.77  51  1 1 3
36.10  100  2 1 2
40.65  57  2 0 3
42.55  67  3 1 0
60.58  48  2 1 5
63.72  24  4 0 3
67.03  41  3 3 3
79.89  25  5 2 2

Cell and atoms:
Lattice parameters (Å, degrees): 6.719 6.719 8.871 90.00 90.00 90.00
Space group P4/mbm (No. 127)
Asymmetric unit:
Li  0.000  0.000  0.000 x2
Sn  0.159  0.341  0.179 x8
Sn  0.164  0.664  0.500 x4
Pd  0.000  0.000  0.321 x4

=====

# 4
Structure and computed powder XRD pattern of Li2SnPd (the PBE geometry in the Materials Project; CuKα).

Peak list (8 most intense, 10° ≤ 2θ ≤ 90°, low angle first)
2θ/deg  intensity  (hkl)
24.13  100  1 1 1
39.92  96  2 2 0
47.19  50  3 1 1
57.73  16  4 0 0
63.48  21  3 3 1
72.49  34  4 2 2
77.67  16  5 1 1
86.11  11  4 4 0

Cell and atoms:
Lattice parameters (Å, degrees): 6.388 6.388 6.388 90.00 90.00 90.00
Space group F-43m (No. 216)
Asymmetric unit:
Li  0.000  0.000  0.000 x4
Li  0.250  0.250  0.250 x4
Sn  0.250  0.250  0.750 x4
Pd  0.000  0.000  0.500 x4

=====

# 5
Structure and computed powder XRD pattern of Li2TlPd (the PBE geometry in the Materials Project; CuKα).

Peak list (10 most intense, 10° ≤ 2θ ≤ 90°, low angle first)
2θ/deg  intensity  (hkl)
24.14  17  1 1 1
27.95  100  2 0 0
39.94  88  2 2 0
47.21  9  3 1 1
49.45  28  2 2 2
57.76  15  4 0 0
63.51  4  3 3 1
65.36  36  4 2 0
72.53  31  4 2 2
86.16  10  4 4 0

Cell and atoms:
Lattice parameters (Å, degrees): 6.385 6.385 6.385 90.00 90.00 90.00
Space group Fm-3m (No. 225)
Asymmetric unit:
Li  0.250  0.250  0.250 x8
Tl  0.000  0.000  0.000 x4
Pd  0.000  0.000  0.500 x4

=====

# 6
Structure and computed powder XRD pattern of LiTlPd2 (the PBE geometry in the Materials Project; CuKα).

Peak list (10 most intense, 10° ≤ 2θ ≤ 90°, low angle first)
2θ/deg  intensity  (hkl)
24.24  70  1 0 1
38.52  100  1 1 2
41.71  17  1 0 3
43.11  36  2 0 0
47.98  13  0 0 4
50.06  20  2 1 1
61.53  11  2 1 3
62.60  12  2 2 0
66.45  20  2 0 4
75.96  27  3 1 2

Cell and atoms:
Lattice parameters (Å, degrees): 4.197 4.197 7.584 90.00 90.00 90.00
Space group I4/mmm (No. 139)
Asymmetric unit:
Li  0.000  0.000  0.000 x2
Tl  0.000  0.000  0.500 x2
Pd  0.000  0.500  0.250 x4